Calculated powder X-ray diffraction pattern
Compound: Pa2Ni3Ru
Radiation: a wavelength of 1.5418 Å
Structure: DFT lattice parameters and positions (PBE)

```
data_Pa2Ni3Ru
_chemical_formula_sum 'Pa4 Ni6 Ru2'
_cell_length_a 8.6714
_cell_length_b 4.9930
_cell_length_c 5.2318
_cell_angle_alpha 90.00
_cell_angle_beta 123.51
_cell_angle_gamma 90.00
_space_group_name_H-M_alt 'C 1 2/m 1'
_space_group_IT_number 12
loop_
_space_group_symop_operation_xyz
'x,y,z'
'-x,-y,-z'
'-x,y,-z'
'x,-y,z'
'x+1/2,y+1/2,z'
'-x+1/2,-y+1/2,-z'
'-x+1/2,y+1/2,-z'
'x+1/2,-y+1/2,z'
loop_
_atom_site_label
_atom_site_fract_x
_atom_site_fract_y
_atom_site_fract_z
Pa1 0.1267 0.0000 0.3796
Ni1 0.0000 0.5000 0.0000
Ni2 0.2500 0.2500 0.0000
Ru1 0.0000 0.5000 0.5000
```

The 10 most intense peaks (2θ from 5° to 70°), by angle:
- 20.36 deg, d 4.362, intensity 22.4, hkl 0 0 1
- 21.62 deg, d 4.111, intensity 22.0, hkl 2 0 -1
- 34.36 deg, d 2.610, intensity 58.5, hkl 1 1 1
- 35.92 deg, d 2.500, intensity 72.8, hkl 0 2 0
- 40.26 deg, d 2.240, intensity 49.6, hkl 1 1 -2
- 41.64 deg, d 2.169, intensity 100.0, hkl 3 1 0
- 42.32 deg, d 2.136, intensity 32.4, hkl 2 2 -1
- 60.50 deg, d 1.530, intensity 16.7, hkl 2 0 2
- 67.46 deg, d 1.388, intensity 14.4, hkl 4 2 -3
- 68.52 deg, d 1.369, intensity 15.3, hkl 3 3 0